# WN2
Theoretical XRD peak list, Cu Kα. Input: a crystal structure in the Materials Project, relaxed with PBE.
Intensities are scaled so that the largest is 100.

Peak list (8 most intense, 5 to 70 degrees two-theta, low angle first)
| (hkl) | Position (°2θ) | d (Å) | I_rel |
| --- | --- | --- | --- |
| 1 0 1 | 18.4 | 4.824 | 100 |
| 1 1 2 | 30.0 | 2.976 | 50 |
| 2 0 0 | 30.7 | 2.911 | 22 |
| 1 0 3 | 34.8 | 2.575 | 14 |
| 2 1 1 | 36.0 | 2.493 | 25 |
| 2 1 3 | 47.1 | 1.929 | 17 |
| 2 0 4 | 52.9 | 1.731 | 11 |
| 3 1 2 | 54.2 | 1.693 | 19 |

Crystal structure
a = 5.823 Å, b = 5.823 Å, c = 8.614 Å
α = 90.00°, β = 90.00°, γ = 90.00°
Space group I-42d (No. 122)
Unique sites:
W 0.000 0.000 0.000 (multiplicity 4)
N 0.075 0.750 0.125 (multiplicity 8)

***

# RbU3F10
Theoretical XRD peak list, Cu Kα. Input: a crystal structure in the Materials Project, relaxed with PBE.
Intensities are scaled so that the largest is 100.

Peak list (8 most intense, 5 to 70 degrees two-theta, low angle first)
| (hkl) | Position (°2θ) | d (Å) | I_rel |
| --- | --- | --- | --- |
| 2 0 1 | 24.6 | 3.613 | 43 |
| 0 0 4 | 25.3 | 3.521 | 37 |
| 2 0 2 | 27.0 | 3.302 | 100 |
| 2 0 3 | 30.6 | 2.924 | 22 |
| 2 2 0 | 41.9 | 2.158 | 34 |
| 2 0 6 | 45.6 | 1.988 | 30 |
| 2 2 4 | 49.5 | 1.840 | 39 |
| 4 0 2 | 50.5 | 1.806 | 23 |

Crystal structure
a = 8.6324 Å, b = 8.6324 Å, c = 14.0832 Å
α = 90.00°, β = 90.00°, γ = 120.00°
Space group P6_3mc (No. 186)
Unique sites:
Rb 0.0000 0.0000 0.0000 (multiplicity 2)
Rb 0.3333 0.6667 0.2564 (multiplicity 2)
U 0.0158 0.5079 0.5090 (multiplicity 6)
U 0.1791 0.3582 0.7440 (multiplicity 6)
F 0.0025 0.3386 0.8759 (multiplicity 12)
F 0.0145 0.5072 0.6853 (multiplicity 6)
F 0.1090 0.2181 0.2154 (multiplicity 6)
F 0.1749 0.3498 0.5669 (multiplicity 6)
F 0.2226 0.4452 0.0433 (multiplicity 6)
F 0.3333 0.6667 0.4547 (multiplicity 2)
F 0.3333 0.6667 0.8187 (multiplicity 2)

***

# LaY3Mn4Si4
Theoretical XRD peak list, Cu Kα. Input: a crystal structure in the Materials Project, relaxed with PBE.
Intensities are scaled so that the largest is 100.

Peak list (8 most intense, 5 to 70 degrees two-theta, low angle first)
| (hkl) | Position (°2θ) | d (Å) | I_rel |
| --- | --- | --- | --- |
| 1 0 2 | 25.6 | 3.480 | 78 |
| 1 0 4 | 33.4 | 2.684 | 100 |
| 1 1 2 | 34.3 | 2.614 | 79 |
| 0 0 6 | 36.9 | 2.434 | 31 |
| 1 1 4 | 40.6 | 2.221 | 100 |
| 2 0 0 | 45.8 | 1.979 | 67 |
| 1 0 8 | 55.4 | 1.658 | 31 |
| 2 1 4 | 57.9 | 1.593 | 40 |

Crystal structure
a = 3.959 Å, b = 3.959 Å, c = 14.605 Å
α = 90.00°, β = 90.00°, γ = 90.00°
Space group P4mm (No. 99)
Unique sites:
La 0.000 0.000 0.000 (multiplicity 1)
Y 0.000 0.000 0.498 (multiplicity 1)
Y 0.500 0.500 0.180 (multiplicity 1)
Y 0.500 0.500 0.666 (multiplicity 1)
Mn 0.000 0.500 0.337 (multiplicity 2)
Mn 0.000 0.500 0.825 (multiplicity 2)
Si 0.000 0.000 0.241 (multiplicity 1)
Si 0.000 0.000 0.727 (multiplicity 1)
Si 0.500 0.500 0.435 (multiplicity 1)
Si 0.500 0.500 0.919 (multiplicity 1)

***

Please write out number 2 again, unchanged.
# RbU3F10
Theoretical XRD peak list, Cu Kα. Input: a crystal structure in the Materials Project, relaxed with PBE.
Intensities are scaled so that the largest is 100.

Peak list (8 most intense, 5 to 70 degrees two-theta, low angle first)
| (hkl) | Position (°2θ) | d (Å) | I_rel |
| --- | --- | --- | --- |
| 2 0 1 | 24.6 | 3.613 | 43 |
| 0 0 4 | 25.3 | 3.521 | 37 |
| 2 0 2 | 27.0 | 3.302 | 100 |
| 2 0 3 | 30.6 | 2.924 | 22 |
| 2 2 0 | 41.9 | 2.158 | 34 |
| 2 0 6 | 45.6 | 1.988 | 30 |
| 2 2 4 | 49.5 | 1.840 | 39 |
| 4 0 2 | 50.5 | 1.806 | 23 |

Crystal structure
a = 8.6324 Å, b = 8.6324 Å, c = 14.0832 Å
α = 90.00°, β = 90.00°, γ = 120.00°
Space group P6_3mc (No. 186)
Unique sites:
Rb 0.0000 0.0000 0.0000 (multiplicity 2)
Rb 0.3333 0.6667 0.2564 (multiplicity 2)
U 0.0158 0.5079 0.5090 (multiplicity 6)
U 0.1791 0.3582 0.7440 (multiplicity 6)
F 0.0025 0.3386 0.8759 (multiplicity 12)
F 0.0145 0.5072 0.6853 (multiplicity 6)
F 0.1090 0.2181 0.2154 (multiplicity 6)
F 0.1749 0.3498 0.5669 (multiplicity 6)
F 0.2226 0.4452 0.0433 (multiplicity 6)
F 0.3333 0.6667 0.4547 (multiplicity 2)
F 0.3333 0.6667 0.8187 (multiplicity 2)